Ta3Pd3N: simulated powder XRD pattern (Cu Kα), based on the PBE geometry in Alexandria.
Intensities are scaled so that the largest is 100.

Crystal structure
Unit cell a=11.8749 b=11.8749 c=11.8749 alpha=90.00 beta=90.00 gamma=90.00
Space group Fd-3m (No. 227, origin choice 2)
Unique sites:
Ta 0.0552 0.3750 0.3750 x48
Pd 0.0000 0.0000 0.5000 x16
Pd 0.0356 0.0356 0.7144 x32
N 0.0000 0.0000 0.0000 x16

Peak list (10 most intense, 10° ≤ 2θ ≤ 90°, in order of falling intensity)
2θ 39.43, rel. 100.0, hkl 3 3 3; 2θ 37.09, rel. 45.3, hkl 4 2 2; 2θ 66.85, rel. 40.2, hkl 6 6 0; 2θ 80.47, rel. 20.3, hkl 9 3 3; 2θ 32.88, rel. 19.3, hkl 3 3 1; 2θ 43.09, rel. 18.5, hkl 4 4 0; 2θ 68.42, rel. 10.6, hkl 5 5 5; 2θ 55.24, rel. 6.3, hkl 7 1 1; 2θ 59.82, rel. 5.0, hkl 5 5 3; 2θ 53.46, rel. 4.7, hkl 4 4 4

=====

TaBe3Os: simulated powder XRD pattern (Cu Kα), based on the PBE geometry in Alexandria.
Intensities are scaled so that the largest is 100.

Crystal structure
```
data_TaBe3Os
_cell_length_a 4.0690
_cell_length_b 4.0690
_cell_length_c 4.0690
_cell_angle_alpha 90.00
_cell_angle_beta 90.00
_cell_angle_gamma 90.00
_symmetry_space_group_name_H-M 'P m -3 m'
_symmetry_Int_Tables_number 221
_symmetry_space_group_name_Hall '-P 4 2 3'
loop_
_atom_site_label
_atom_site_type_symbol
_atom_site_fract_x
_atom_site_fract_y
_atom_site_fract_z
_atom_site_occupancy
Ta1 Ta 0.0000 0.0000 0.0000 1
Be1 Be 0.0000 0.5000 0.5000 1
Os1 Os 0.5000 0.5000 0.5000 1
```

Peak list (6 most intense, 10° ≤ 2θ ≤ 90°, in order of falling intensity)
2θ 31.08, rel. 100.0, hkl 1 1 0; 2θ 55.30, rel. 40.3, hkl 2 1 1; 2θ 44.53, rel. 21.4, hkl 2 0 0; 2θ 73.61, rel. 17.4, hkl 3 1 0; 2θ 64.81, rel. 14.2, hkl 2 2 0; 2θ 82.04, rel. 5.0, hkl 2 2 2

=====

CaLaSe: simulated powder XRD pattern (Cu Kα), based on the PBE geometry in Alexandria.
Intensities are scaled so that the largest is 100.

Crystal structure
```
data_CaLaSe
_cell_length_a 4.2426
_cell_length_b 4.2426
_cell_length_c 5.7993
_cell_angle_alpha 90.00
_cell_angle_beta 90.00
_cell_angle_gamma 90.00
_symmetry_space_group_name_H-M 'P 4/m m m'
_symmetry_Int_Tables_number 123
_symmetry_space_group_name_Hall '-P 4 2'
loop_
_atom_site_label
_atom_site_type_symbol
_atom_site_fract_x
_atom_site_fract_y
_atom_site_fract_z
_atom_site_occupancy
Ca1 Ca 0.0000 0.0000 0.0000 1
La1 La 0.5000 0.5000 0.5000 1
Se1 Se 0.0000 0.0000 0.5000 1
```

Peak list (10 most intense, 10° ≤ 2θ ≤ 90°, in order of falling intensity)
2θ 15.28, rel. 100.0, hkl 0 0 1; 2θ 29.78, rel. 90.9, hkl 1 1 0; 2θ 43.40, rel. 63.6, hkl 1 1 2; 2θ 33.63, rel. 59.2, hkl 1 1 1; 2θ 30.84, rel. 41.4, hkl 0 0 2; 2θ 26.02, rel. 38.0, hkl 1 0 1; 2θ 53.52, rel. 33.8, hkl 2 0 2; 2θ 42.62, rel. 33.5, hkl 2 0 0; 2θ 45.53, rel. 25.6, hkl 2 0 1; 2θ 78.56, rel. 21.5, hkl 3 1 2

=====

Q: Number 3 is which compound?
A: CaLaSe